For LaHgSeO, the PBE geometry in OQMD gives the calculated XRD peak list in this record (λ = 1.5418 Å (Cu Kα)).

Crystal structure
```
16
Lattice="5.7803 0.0000 0.0000 0.0000 5.7648 0.0000 -2.3699 0.0000 11.4035" Properties=species:S:1:pos:R:3 pbc="T T T"
La 0.0143 0.0000 1.2117
La 0.5053 0.0051 10.1739
La 2.9051 2.8875 1.2296
La 3.3961 2.8824 10.1918
Hg -0.7260 0.6835 6.6345
Hg 1.0901 0.6059 4.6958
Hg 2.3203 3.4883 6.7077
Hg 4.1363 3.5659 4.7690
Se 0.0167 2.9290 2.9093
Se 0.5126 2.9111 8.4457
Se 2.8978 0.0286 2.9578
Se 3.3937 0.0466 8.4942
O -0.9220 4.3285 11.3994
O 1.4474 1.4557 0.0051
O 1.9629 4.3381 11.3984
O 4.3324 1.4461 0.0041
```

Main lines, in order of falling intensity (10 to 80 degrees two-theta):
hkl 1 1 2, 3.091 Å, 2θ = 28.9°, I = 100.0; hkl 1 1 -4, 2.507 Å, 2θ = 35.8°, I = 41.6; hkl 0 2 0, 2.882 Å, 2θ = 31.0°, I = 30.8; hkl 1 1 1, 3.644 Å, 2θ = 24.4°, I = 29.3; hkl 1 1 0, 4.039 Å, 2θ = 22.0°, I = 26.7; hkl 0 0 6, 1.901 Å, 2θ = 47.9°, I = 20.8; hkl 0 2 1, 2.795 Å, 2θ = 32.0°, I = 19.1; hkl 1 3 -3, 1.685 Å, 2θ = 54.5°, I = 17.1

---

For La2Hg4Pb, the PBE geometry in OQMD gives the calculated XRD peak list in this record (λ = 1.5418 Å (Cu Kα)).

Crystal structure
```
7
Lattice="6.4835 0.0000 0.0000 0.0000 6.4835 0.0000 0.0000 0.0000 4.9902" Properties=species:S:1:pos:R:3 pbc="T T T"
La 0.0000 3.2417 0.0000
La 3.2417 0.0000 0.0000
Hg 1.5720 1.5720 2.5081
Hg 1.5720 4.9115 2.4822
Hg 4.9115 1.5720 2.4822
Hg 4.9115 4.9115 2.5081
Pb 3.2417 3.2417 0.0000
```

Main lines, in order of falling intensity (10 to 80 degrees two-theta):
hkl 2 0 1, 2.718 Å, 2θ = 32.9°, I = 100.0; hkl 2 2 0, 2.292 Å, 2θ = 39.3°, I = 31.0; hkl 4 2 1, 1.392 Å, 2θ = 67.2°, I = 25.6; hkl 2 2 2, 1.688 Å, 2θ = 54.3°, I = 24.5; hkl 0 0 2, 2.495 Å, 2θ = 36.0°, I = 19.9; hkl 2 0 3, 1.480 Å, 2θ = 62.8°, I = 16.0; hkl 4 0 2, 1.359 Å, 2θ = 69.1°, I = 11.9; hkl 4 0 0, 1.621 Å, 2θ = 56.8°, I = 10.6